No. 1
Diffraction record for NaCuPdSe. The X-ray diffraction stick pattern is computed, not measured: it uses a crystal structure in Alexandria, relaxed with GGA-PBE and λ = 1.5418 Å (Cu Kα).
No peak broadening, texture or thermal motion is included.

Crystal structure
Cell: 3.7584 3.7584 11.3100 Å, 90.00 90.00 90.00°
Fractional coordinates of all 8 atoms:
Na: 0.2500 0.2500 0.2203
Na: 0.7500 0.7500 0.7797
Cu: 0.2500 0.7500 0.5000
Cu: 0.7500 0.2500 0.5000
Pd: 0.2500 0.7500 0.0000
Pd: 0.7500 0.2500 0.0000
Se: 0.2500 0.2500 0.6428
Se: 0.7500 0.7500 0.3572

Most intense lines, 2θ from 10° to 90°, sorted by position:
2θ (°)	intensity
15.7	86.6
28.5	32.9
34.7	18.2
37.4	100.0
46.9	67.4
48.4	38.9
83.0	17.9
89.4	19.7

---

No. 2
Diffraction record for NaCuPt4. The X-ray diffraction stick pattern is computed, not measured: it uses a crystal structure in Alexandria, relaxed with GGA-PBE and λ = 1.5418 Å (Cu Kα).
No peak broadening, texture or thermal motion is included.

Crystal structure
Cell: 5.2877 5.2877 5.2877 Å, 60.00 60.00 60.00°
Fractional coordinates of all 6 atoms:
Na: 0.0000 0.0000 0.0000
Cu: 0.2500 0.2500 0.2500
Pt: 0.1252 0.6249 0.6249
Pt: 0.6249 0.1252 0.6249
Pt: 0.6249 0.6249 0.1252
Pt: 0.6249 0.6249 0.6249

Most intense lines, 2θ from 10° to 90°, sorted by position:
2θ (°)	intensity
20.6	89.2
40.0	100.0
41.8	85.4
48.7	32.2
53.4	22.2
64.8	32.2
71.3	33.3
86.3	33.8

---

No. 3
Diffraction record for Na2CuPt3. The X-ray diffraction stick pattern is computed, not measured: it uses a crystal structure in Alexandria, relaxed with GGA-PBE and λ = 1.5418 Å (Cu Kα).
No peak broadening, texture or thermal motion is included.

Crystal structure
Cell: 5.2360 5.2360 5.2360 Å, 61.73 61.73 61.73°
Fractional coordinates of all 6 atoms:
Na: 0.1236 0.1236 0.1236
Na: 0.8764 0.8764 0.8764
Cu: 0.5000 0.5000 0.5000
Pt: 0.0000 0.5000 0.5000
Pt: 0.5000 0.0000 0.5000
Pt: 0.5000 0.5000 0.0000

Most intense lines, 2θ from 10° to 90°, sorted by position:
2θ (°)	intensity
20.3	74.9
21.1	99.1
39.4	80.5
39.8	46.4
41.4	100.0
42.9	29.8
48.6	54.0
53.5	25.8

---

No. 4
Diffraction record for Na3Pu3CuS8. The X-ray diffraction stick pattern is computed, not measured: it uses a crystal structure in Alexandria, relaxed with GGA-PBE and λ = 1.5418 Å (Cu Kα).
No peak broadening, texture or thermal motion is included.

Crystal structure
Cell: 7.8097 7.8097 8.0593 Å, 118.98 118.98 60.00°
Fractional coordinates of all 15 atoms:
Na: 0.0000 0.0000 0.0000
Na: 0.0000 0.5000 0.0000
Na: 0.5000 0.0000 0.0000
Pu: 0.0000 0.5000 0.5000
Pu: 0.5000 0.0000 0.5000
Pu: 0.5000 0.5000 0.5000
Cu: 0.0000 0.0000 0.5000
S: 0.2328 0.2328 0.7110
S: 0.2335 0.7456 0.7108
S: 0.2544 0.7665 0.2892
S: 0.2572 0.2572 0.2709
S: 0.7428 0.7428 0.7291
S: 0.7456 0.2335 0.7108
S: 0.7665 0.2544 0.2892
S: 0.7672 0.7672 0.2890

Most intense lines, 2θ from 10° to 90°, sorted by position:
2θ (°)	intensity
13.3	100.0
26.7	59.9
27.8	30.9
31.9	81.0
45.0	29.0
46.5	28.5
48.6	24.0
57.5	24.5

---

No. 5
Diffraction record for RbNaCu. The X-ray diffraction stick pattern is computed, not measured: it uses a crystal structure in Alexandria, relaxed with GGA-PBE and λ = 1.5418 Å (Cu Kα).
No peak broadening, texture or thermal motion is included.

Crystal structure
Cell: 8.2158 8.2158 6.9204 Å, 94.95 94.95 30.39°
Fractional coordinates of all 6 atoms:
Rb: 0.1394 0.1394 0.3536
Rb: 0.8606 0.8606 0.6464
Na: 0.4011 0.4011 0.1473
Na: 0.5989 0.5989 0.8527
Cu: 0.2334 0.2334 0.9287
Cu: 0.7666 0.7666 0.0713

Most intense lines, 2θ from 10° to 90°, sorted by position:
2θ (°)	intensity
11.2	100.0
17.8	51.0
26.7	38.5
27.0	32.9
27.3	55.5
29.1	59.2
33.4	31.6
38.6	43.4

---

No. 6
Diffraction record for Na3CuRh. The X-ray diffraction stick pattern is computed, not measured: it uses a crystal structure in Alexandria, relaxed with GGA-PBE and λ = 1.5418 Å (Cu Kα).
No peak broadening, texture or thermal motion is included.

Crystal structure
Cell: 5.3565 5.3565 5.3565 Å, 90.00 90.00 90.00°
Fractional coordinates of all 5 atoms:
Na: 0.0000 0.0000 0.5000
Na: 0.0000 0.5000 0.0000
Na: 0.5000 0.0000 0.0000
Cu: 0.5000 0.5000 0.5000
Rh: 0.0000 0.0000 0.0000

Most intense lines, 2θ from 10° to 90°, sorted by position:
2θ (°)	intensity
16.5	19.6
23.5	100.0
33.5	54.7
41.3	44.3
48.0	38.0
54.1	19.6
65.2	22.0
80.1	15.0

---

No. 7
Diffraction record for NaCu4Rh. The X-ray diffraction stick pattern is computed, not measured: it uses a crystal structure in Alexandria, relaxed with GGA-PBE and λ = 1.5418 Å (Cu Kα).
No peak broadening, texture or thermal motion is included.

Crystal structure
Cell: 4.8975 4.8975 4.8975 Å, 60.00 60.00 60.00°
Fractional coordinates of all 6 atoms:
Na: 0.0000 0.0000 0.0000
Cu: 0.1260 0.6247 0.6247
Cu: 0.6247 0.1260 0.6247
Cu: 0.6247 0.6247 0.1260
Cu: 0.6247 0.6247 0.6247
Rh: 0.2500 0.2500 0.2500

Most intense lines, 2θ from 10° to 90°, sorted by position:
2θ (°)	intensity
22.2	19.4
25.7	11.8
36.7	24.2
43.3	100.0
45.4	42.8
66.1	8.1
70.7	28.4
78.0	22.9

---

No. 8
Diffraction record for Na2CuRh. The X-ray diffraction stick pattern is computed, not measured: it uses a crystal structure in Alexandria, relaxed with GGA-PBE and λ = 1.5418 Å (Cu Kα).
No peak broadening, texture or thermal motion is included.

Crystal structure
Cell: 6.0494 6.0494 6.0494 Å, 100.45 100.45 129.58°
Fractional coordinates of all 8 atoms:
Na: 0.1127 0.6250 0.9877
Na: 0.3750 0.3627 0.4877
Na: 0.6373 0.1250 0.0123
Na: 0.8750 0.8873 0.5123
Cu: 0.0000 0.0000 0.0000
Cu: 0.7500 0.2500 0.5000
Rh: 0.2500 0.7500 0.5000
Rh: 0.5000 0.5000 0.0000

Most intense lines, 2θ from 10° to 90°, sorted by position:
2θ (°)	intensity
23.0	78.9
32.7	100.0
38.6	83.2
47.0	35.0
51.5	70.2
62.4	19.1
72.2	24.0
81.6	17.0